# In9Ga3Bi4S24
Theoretical PXRD pattern, λ = 1.5418 Å (Cu Kα). Input: a cell relaxed with PBE.
No peak broadening, texture or thermal motion is included.

Structure:
Unit cell a=12.599 b=3.884 c=20.473 alpha=90.00 beta=96.36 gamma=90.00
Atoms (fractional coordinates):
In 0.000 0.000 0.000
In 0.016 0.000 0.604
In 0.214 0.500 0.346
In 0.235 0.500 0.950
In 0.294 0.500 0.561
In 0.503 0.000 0.499
In 0.522 0.000 0.103
In 0.714 0.500 0.847
In 0.735 0.500 0.449
Ga 0.440 0.000 0.892
Ga 0.795 0.500 0.058
Ga 0.940 0.000 0.392
Bi 0.023 0.500 0.770
Bi 0.212 0.000 0.180
Bi 0.523 0.500 0.269
Bi 0.711 0.000 0.680
S 0.098 0.500 0.232
S 0.099 0.500 0.544
S 0.108 0.000 0.897
S 0.123 0.000 0.403
S 0.127 0.500 0.052
S 0.136 0.000 0.717
S 0.335 0.000 0.295
S 0.356 0.500 0.846
S 0.368 0.500 0.450
S 0.373 0.000 0.995
S 0.397 0.000 0.610
S 0.400 0.500 0.153
S 0.599 0.500 0.732
S 0.609 0.000 0.396
S 0.613 0.500 0.047
S 0.622 0.000 0.902
S 0.629 0.500 0.552
S 0.637 0.000 0.218
S 0.835 0.000 0.796
S 0.857 0.500 0.346
S 0.862 0.500 0.955
S 0.870 0.000 0.494
S 0.880 0.000 0.104
S 0.896 0.500 0.656

The 6 most intense peaks (5 to 70 degrees two-theta), in order of rising 2θ:
Position (°2θ), d (Å), I/Imax
7.87, 11.234, 100
23.73, 3.750, 91
27.93, 3.195, 80
28.91, 3.088, 86
31.41, 2.848, 57
35.13, 2.554, 66



# AgHgSI
Theoretical PXRD pattern, λ = 1.5418 Å (Cu Kα). Input: a cell relaxed with PBE.
No peak broadening, texture or thermal motion is included.

Structure:
Unit cell a=7.266 b=7.883 c=8.791 alpha=90.00 beta=90.00 gamma=90.00
Atoms (fractional coordinates):
Ag 0.094 0.172 0.393
Ag 0.406 0.828 0.893
Ag 0.594 0.328 0.607
Ag 0.906 0.672 0.107
Hg 0.250 0.267 0.988
Hg 0.250 0.733 0.488
Hg 0.750 0.233 0.012
Hg 0.750 0.767 0.512
S 0.002 0.356 0.150
S 0.498 0.644 0.650
S 0.502 0.144 0.850
S 0.998 0.856 0.350
I 0.007 0.878 0.861
I 0.493 0.122 0.361
I 0.507 0.622 0.139
I 0.993 0.378 0.639

The 6 most intense peaks (5 to 70 degrees two-theta), in order of rising 2θ:
Position (°2θ), d (Å), I/Imax
20.20, 4.396, 29
22.56, 3.941, 44
23.17, 3.839, 31
28.90, 3.089, 100
32.60, 2.747, 42
52.81, 1.734, 28



# TePd3
Theoretical PXRD pattern, λ = 1.5418 Å (Cu Kα). Input: a cell relaxed with PBE.
No peak broadening, texture or thermal motion is included.

Structure:
Unit cell a=4.961 b=4.985 c=5.695 alpha=90.00 beta=90.00 gamma=90.00
Atoms (fractional coordinates):
Te 0.000 0.000 0.000
Te 0.500 0.500 0.000
Pd 0.000 0.000 0.500
Pd 0.000 0.500 0.252
Pd 0.000 0.500 0.748
Pd 0.500 0.000 0.252
Pd 0.500 0.000 0.748
Pd 0.500 0.500 0.500

The 6 most intense peaks (5 to 70 degrees two-theta), in order of rising 2θ:
Position (°2θ), d (Å), I/Imax
36.03, 2.492, 35
36.22, 2.480, 35
40.77, 2.213, 100
52.02, 1.758, 24
68.00, 1.379, 21
68.23, 1.374, 21



Question: What is the formula in the second record?
Answer: AgHgSI



Copy entry 2 word for word.
# AgHgSI
Theoretical PXRD pattern, λ = 1.5418 Å (Cu Kα). Input: a cell relaxed with PBE.
No peak broadening, texture or thermal motion is included.

Structure:
Unit cell a=7.266 b=7.883 c=8.791 alpha=90.00 beta=90.00 gamma=90.00
Atoms (fractional coordinates):
Ag 0.094 0.172 0.393
Ag 0.406 0.828 0.893
Ag 0.594 0.328 0.607
Ag 0.906 0.672 0.107
Hg 0.250 0.267 0.988
Hg 0.250 0.733 0.488
Hg 0.750 0.233 0.012
Hg 0.750 0.767 0.512
S 0.002 0.356 0.150
S 0.498 0.644 0.650
S 0.502 0.144 0.850
S 0.998 0.856 0.350
I 0.007 0.878 0.861
I 0.493 0.122 0.361
I 0.507 0.622 0.139
I 0.993 0.378 0.639

The 6 most intense peaks (5 to 70 degrees two-theta), in order of rising 2θ:
Position (°2θ), d (Å), I/Imax
20.20, 4.396, 29
22.56, 3.941, 44
23.17, 3.839, 31
28.90, 3.089, 100
32.60, 2.747, 42
52.81, 1.734, 28